Diffraction record for Hf3Al2GaNiPt2. The X-ray diffraction stick pattern is theoretical, not measured: it uses the GGA-PBE geometry in OQMD and CuKα.

Atomic structure:
Unit cell a=3.497 b=7.081 c=7.081 alpha=119.68 beta=90.00 gamma=90.00
Sites, in units of the cell vectors:
Hf: 0.000 0.000 0.000
Hf: 0.000 0.208 0.600
Hf: 0.000 0.600 0.208
Al: 0.500 0.605 0.851
Al: 0.500 0.851 0.605
Ga: 0.500 0.352 0.352
Ni: 0.000 0.603 0.603
Pt: 0.500 0.268 0.930
Pt: 0.500 0.930 0.268

Peak list (12 most intense, 5 to 70 degrees two-theta, by angle)
14.41°, I = 32
25.03°, I = 12
25.15°, I = 20
36.08°, I = 100
38.67°, I = 9
38.86°, I = 14
39.00°, I = 41
39.11°, I = 12
44.17°, I = 24
44.39°, I = 14
47.03°, I = 14
52.33°, I = 15



Diffraction record for AlGaHgSe2S2. The X-ray diffraction stick pattern is theoretical, not measured: it uses the GGA-PBE geometry in OQMD and CuKα.

Atomic structure:
Unit cell a=5.764 b=5.773 c=6.612 alpha=114.71 beta=115.48 gamma=90.04
Sites, in units of the cell vectors:
Al: 0.000 0.000 0.000
Ga: 0.236 0.760 0.500
Hg: 0.738 0.249 0.502
Se: 0.608 0.660 0.788
Se: 0.861 0.384 0.212
S: 0.138 0.107 0.768
S: 0.328 0.857 0.232

Peak list (12 most intense, 5 to 70 degrees two-theta, by angle)
16.76°, I = 57
17.47°, I = 42
21.79°, I = 100
27.34°, I = 65
27.46°, I = 68
27.76°, I = 58
27.91°, I = 62
35.61°, I = 37
35.77°, I = 36
44.43°, I = 65
46.02°, I = 31
46.44°, I = 29



Diffraction record for AlGaHgSeS3. The X-ray diffraction stick pattern is theoretical, not measured: it uses the GGA-PBE geometry in OQMD and CuKα.

Atomic structure:
Unit cell a=5.668 b=5.736 c=6.517 alpha=114.87 beta=114.89 gamma=90.89
Sites, in units of the cell vectors:
Al: 0.000 0.000 0.000
Ga: 0.257 0.766 0.510
Hg: 0.760 0.258 0.506
Se: 0.352 0.394 0.217
S: 0.157 0.675 0.781
S: 0.630 0.115 0.781
S: 0.899 0.860 0.238

Peak list (12 most intense, 5 to 70 degrees two-theta, by angle)
17.00°, I = 59
17.88°, I = 30
21.88°, I = 30
22.23°, I = 61
27.82°, I = 100
27.90°, I = 55
28.36°, I = 42
35.99°, I = 26
36.20°, I = 36
44.60°, I = 26
45.35°, I = 24
47.56°, I = 39